Entry 1:
Starting from a DFT-relaxed cell (GGA-PBE, Alexandria), the powder diffractogram of La6YHo5 was simulated for copper Kα.
No peak broadening, texture or thermal motion is included.

Largest 10 diffraction maxima, in order of rising 2θ, 10 to 90 degrees two-theta:
- d 2.972, 2θ 30.07, I 100
- d 2.620, 2θ 34.22, I 35
- d 2.488, 2θ 36.10, I 15
- d 1.855, 2θ 49.13, I 6
- d 1.851, 2θ 49.23, I 6
- d 1.804, 2θ 50.59, I 23
- d 1.572, 2θ 58.72, I 30
- d 1.514, 2θ 61.21, I 10
- d 1.486, 2θ 62.48, I 9
- d 1.172, 2θ 82.23, I 14

Structure:
Cell: 6.201 7.418 8.923 Å, 90.00 92.73 90.00°
Positions (direct):
La: 0.000 0.248 0.000
La: 0.000 0.752 0.000
La: 0.333 0.249 0.665
La: 0.333 0.751 0.665
La: 0.667 0.249 0.335
La: 0.667 0.751 0.335
Y: 0.500 0.500 0.000
Ho: 0.166 0.500 0.333
Ho: 0.167 0.000 0.333
Ho: 0.500 0.000 0.000
Ho: 0.833 0.000 0.667
Ho: 0.834 0.500 0.667


Entry 2:
Starting from a DFT-relaxed cell (GGA-PBE, Alexandria), the powder diffractogram of TbY5Tm3 was simulated for copper Kα.
No peak broadening, texture or thermal motion is included.

Largest 10 diffraction maxima, in order of rising 2θ, 10 to 90 degrees two-theta:
- d 3.144, 2θ 28.39, I 52
- d 3.085, 2θ 28.94, I 59
- d 2.829, 2θ 31.63, I 100
- d 2.812, 2θ 31.82, I 17
- d 2.432, 2θ 36.96, I 31
- d 2.361, 2θ 38.12, I 21
- d 2.127, 2θ 42.49, I 25
- d 1.833, 2θ 49.73, I 14
- d 1.748, 2θ 52.34, I 19
- d 1.584, 2θ 58.26, I 13

Structure:
Cell: 9.660 9.660 9.660 Å, 125.19 125.19 81.22°
Positions (direct):
Tb: 0.250 0.750 0.500
Tb: 0.750 0.250 0.500
Y: 0.000 0.000 0.000
Y: 0.071 0.571 0.905
Y: 0.165 0.071 0.500
Y: 0.335 0.835 0.905
Y: 0.429 0.335 0.500
Y: 0.500 0.500 0.000
Y: 0.571 0.665 0.500
Y: 0.665 0.165 0.095
Y: 0.835 0.929 0.500
Y: 0.929 0.429 0.095
Tm: 0.113 0.387 0.500
Tm: 0.250 0.250 0.000
Tm: 0.387 0.887 0.275
Tm: 0.613 0.113 0.725
Tm: 0.750 0.750 0.000
Tm: 0.887 0.613 0.500


Entry 3:
Starting from a DFT-relaxed cell (GGA-PBE, Alexandria), the powder diffractogram of Ho6Bi3H was simulated for copper Kα.
No peak broadening, texture or thermal motion is included.

Largest 10 diffraction maxima, in order of rising 2θ, 10 to 90 degrees two-theta:
- d 2.784, 2θ 32.16, I 100
- d 2.683, 2θ 33.40, I 21
- d 2.510, 2θ 35.77, I 19
- d 2.139, 2θ 42.25, I 12
- d 1.833, 2θ 49.74, I 14
- d 1.628, 2θ 56.53, I 11
- d 1.568, 2θ 58.91, I 15
- d 1.497, 2θ 62.01, I 16
- d 1.392, 2θ 67.27, I 11
- d 1.329, 2θ 70.92, I 11

Structure:
Cell: 10.293 10.293 5.020 Å, 90.00 90.00 102.87°
Positions (direct):
Ho: 0.075 0.925 0.500
Ho: 0.082 0.586 0.499
Ho: 0.254 0.746 0.996
Ho: 0.256 0.410 0.999
Ho: 0.410 0.256 0.499
Ho: 0.414 0.918 0.499
Ho: 0.586 0.082 0.999
Ho: 0.590 0.744 0.999
Ho: 0.744 0.590 0.499
Ho: 0.746 0.254 0.496
Ho: 0.918 0.414 0.999
Ho: 0.925 0.075 0.000
Bi: 0.071 0.261 0.501
Bi: 0.261 0.071 0.001
Bi: 0.406 0.594 0.497
Bi: 0.594 0.406 0.997
Bi: 0.739 0.929 0.501
Bi: 0.929 0.739 0.001
H: 0.208 0.792 0.572
H: 0.792 0.208 0.072


Entry 4:
Starting from a DFT-relaxed cell (GGA-PBE, Alexandria), the powder diffractogram of Tb7Pm12Pr was simulated for copper Kα.
No peak broadening, texture or thermal motion is included.

Largest 10 diffraction maxima, in order of rising 2θ, 10 to 90 degrees two-theta:
- d 3.111, 2θ 28.70, I 37
- d 2.886, 2θ 30.99, I 100
- d 2.840, 2θ 31.50, I 69
- d 2.653, 2θ 33.79, I 37
- d 2.616, 2θ 34.27, I 13
- d 1.882, 2θ 48.36, I 18
- d 1.681, 2θ 54.60, I 17
- d 1.647, 2θ 55.83, I 21
- d 1.611, 2θ 57.18, I 14
- d 1.163, 2θ 83.05, I 15

Structure:
Cell: 8.877 8.877 8.877 Å, 98.48 98.48 98.48°
Positions (direct):
Tb: 0.000 0.000 0.000
Tb: 0.159 0.596 0.596
Tb: 0.404 0.404 0.841
Tb: 0.404 0.841 0.404
Tb: 0.596 0.159 0.596
Tb: 0.596 0.596 0.159
Tb: 0.841 0.404 0.404
Pm: 0.000 0.262 0.738
Pm: 0.000 0.738 0.262
Pm: 0.143 0.143 0.410
Pm: 0.143 0.410 0.143
Pm: 0.262 0.000 0.738
Pm: 0.262 0.738 0.000
Pm: 0.410 0.143 0.143
Pm: 0.590 0.857 0.857
Pm: 0.738 0.000 0.262
Pm: 0.738 0.262 0.000
Pm: 0.857 0.590 0.857
Pm: 0.857 0.857 0.590
Pr: 0.500 0.500 0.500


Entry 5:
Starting from a DFT-relaxed cell (GGA-PBE, Alexandria), the powder diffractogram of Mg8Cu2Pd was simulated for copper Kα.
No peak broadening, texture or thermal motion is included.

Largest 10 diffraction maxima, in order of rising 2θ, 10 to 90 degrees two-theta:
- d 6.407, 2θ 13.82, I 15
- d 3.821, 2θ 23.28, I 41
- d 3.740, 2θ 23.79, I 14
- d 3.621, 2θ 24.59, I 32
- d 2.409, 2θ 37.33, I 29
- d 2.354, 2θ 38.24, I 100
- d 2.223, 2θ 40.59, I 26
- d 2.069, 2θ 43.76, I 13
- d 1.894, 2θ 48.03, I 10
- d 1.307, 2θ 72.29, I 14

Structure:
Cell: 7.579 7.579 7.579 Å, 145.90 120.86 70.06°
Positions (direct):
Mg: 0.124 0.342 0.782
Mg: 0.142 0.142 0.000
Mg: 0.309 0.000 0.309
Mg: 0.439 0.658 0.782
Mg: 0.561 0.342 0.218
Mg: 0.691 0.000 0.691
Mg: 0.858 0.858 0.000
Mg: 0.876 0.658 0.218
Cu: 0.306 0.806 0.500
Cu: 0.694 0.194 0.500
Pd: 0.000 0.500 0.500


Entry 6:
Starting from a DFT-relaxed cell (GGA-PBE, Alexandria), the powder diffractogram of Li2Al3Ga4 was simulated for copper Kα.
No peak broadening, texture or thermal motion is included.

Largest 10 diffraction maxima, in order of rising 2θ, 10 to 90 degrees two-theta:
- d 4.247, 2θ 20.92, I 80
- d 3.520, 2θ 25.30, I 55
- d 3.214, 2θ 27.75, I 83
- d 2.405, 2θ 37.39, I 100
- d 2.373, 2θ 37.92, I 96
- d 2.298, 2θ 39.20, I 88
- d 2.282, 2θ 39.50, I 86
- d 2.070, 2θ 43.73, I 64
- d 2.041, 2θ 44.39, I 61
- d 1.967, 2θ 46.14, I 54

Structure:
Cell: 4.082 4.773 8.851 Å, 105.01 90.80 114.65°
Positions (direct):
Li: 0.163 0.328 0.219
Li: 0.837 0.672 0.781
Al: 0.168 0.334 0.560
Al: 0.500 0.000 0.000
Al: 0.832 0.666 0.440
Ga: 0.166 0.334 0.890
Ga: 0.500 0.002 0.330
Ga: 0.500 0.998 0.670
Ga: 0.834 0.666 0.110